[1]
Computed powder diffractogram
Compound: Li4MnCo2O7
Radiation: copper Kα
Structure: a cell relaxed with GGA+U
Lines closer than 0.1° are merged.

Structural model:
Unit cell a=5.897 b=6.518 c=7.681 alpha=65.31 beta=68.20 gamma=75.95
Space group P-1 (No. 2)
Unique sites:
Li 0.000 0.000 0.000 (multiplicity 1)
Li 0.072 0.139 0.282 (multiplicity 2)
Li 0.207 0.416 0.869 (multiplicity 2)
Li 0.358 0.714 0.426 (multiplicity 2)
Li 0.500 0.000 0.000 (multiplicity 1)
Mn 0.140 0.285 0.575 (multiplicity 2)
Co 0.286 0.570 0.141 (multiplicity 2)
Co 0.416 0.857 0.727 (multiplicity 2)
O 0.039 0.566 0.627 (multiplicity 2)
O 0.140 0.710 0.925 (multiplicity 2)
O 0.160 0.831 0.223 (multiplicity 2)
O 0.252 0.019 0.503 (multiplicity 2)
O 0.321 0.153 0.766 (multiplicity 2)
O 0.386 0.297 0.077 (multiplicity 2)
O 0.429 0.418 0.360 (multiplicity 2)

Principal peaks in the range 10 to 80 degrees two-theta, low angle first:
- 18.44 deg, d = 4.811 Å, rel. 100
- 35.71 deg, d = 2.514 Å, rel. 15
- 36.43 deg, d = 2.466 Å, rel. 13
- 42.98 deg, d = 2.104 Å, rel. 29
- 44.11 deg, d = 2.053 Å, rel. 28
- 44.23 deg, d = 2.048 Å, rel. 27

[2]
Computed powder diffractogram
Compound: Li7Mn2Co3O12
Radiation: copper Kα
Structure: a cell relaxed with GGA+U
Lines closer than 0.1° are merged.

Structural model:
Unit cell a=5.873 b=5.901 c=6.467 alpha=75.41 beta=76.66 gamma=87.18
Space group P1 (No. 1)
Unique sites:
Li 0.000 0.000 0.000 (multiplicity 1)
Li 0.000 0.499 0.004 (multiplicity 1)
Li 0.164 0.165 0.330 (multiplicity 1)
Li 0.323 0.838 0.680 (multiplicity 1)
Li 0.500 0.503 0.000 (multiplicity 1)
Li 0.673 0.168 0.323 (multiplicity 1)
Li 0.836 0.836 0.674 (multiplicity 1)
Mn 0.668 0.674 0.335 (multiplicity 1)
Mn 0.834 0.328 0.674 (multiplicity 1)
Co 0.164 0.671 0.329 (multiplicity 1)
Co 0.329 0.327 0.674 (multiplicity 1)
Co 0.499 0.000 0.005 (multiplicity 1)
O 0.073 0.100 0.660 (multiplicity 1)
O 0.078 0.556 0.655 (multiplicity 1)
O 0.245 0.746 0.024 (multiplicity 1)
O 0.273 0.240 0.984 (multiplicity 1)
O 0.418 0.445 0.355 (multiplicity 1)
O 0.431 0.914 0.332 (multiplicity 1)
O 0.589 0.109 0.679 (multiplicity 1)
O 0.597 0.580 0.653 (multiplicity 1)
O 0.726 0.761 0.021 (multiplicity 1)
O 0.757 0.259 0.980 (multiplicity 1)
O 0.893 0.421 0.347 (multiplicity 1)
O 0.907 0.883 0.336 (multiplicity 1)

Principal peaks in the range 10 to 80 degrees two-theta, low angle first:
- 18.47 deg, d = 4.803 Å, rel. 100
- 35.26 deg, d = 2.545 Å, rel. 17
- 36.72 deg, d = 2.447 Å, rel. 24
- 42.40 deg, d = 2.132 Å, rel. 31
- 44.62 deg, d = 2.031 Å, rel. 53
- 63.39 deg, d = 1.467 Å, rel. 16

[3]
Computed powder diffractogram
Compound: Li4MnCo2O7
Radiation: copper Kα
Structure: a cell relaxed with GGA+U
Lines closer than 0.1° are merged.

Structural model:
Unit cell a=9.828 b=2.913 c=17.624 alpha=90.00 beta=95.31 gamma=90.00
Space group Cm (No. 8)
Unique sites:
Li 0.000 0.000 0.000 (multiplicity 2)
Li 0.010 0.000 0.504 (multiplicity 2)
Li 0.078 0.500 0.154 (multiplicity 2)
Li 0.141 0.000 0.297 (multiplicity 2)
Li 0.212 0.500 0.436 (multiplicity 2)
Li 0.297 0.000 0.572 (multiplicity 2)
Li 0.357 0.500 0.711 (multiplicity 2)
Li 0.438 0.000 0.861 (multiplicity 2)
Mn 0.145 0.000 0.788 (multiplicity 2)
Mn 0.290 0.000 0.077 (multiplicity 2)
Co 0.079 0.500 0.633 (multiplicity 2)
Co 0.219 0.500 0.932 (multiplicity 2)
Co 0.356 0.500 0.224 (multiplicity 2)
Co 0.429 0.000 0.369 (multiplicity 2)
O 0.022 0.500 0.757 (multiplicity 2)
O 0.058 0.000 0.394 (multiplicity 2)
O 0.082 0.000 0.891 (multiplicity 2)
O 0.153 0.500 0.544 (multiplicity 2)
O 0.164 0.500 0.046 (multiplicity 2)
O 0.204 0.000 0.687 (multiplicity 2)
O 0.224 0.000 0.178 (multiplicity 2)
O 0.274 0.500 0.818 (multiplicity 2)
O 0.295 0.500 0.328 (multiplicity 2)
O 0.357 0.000 0.977 (multiplicity 2)
O 0.366 0.000 0.456 (multiplicity 2)
O 0.414 0.500 0.111 (multiplicity 2)
O 0.446 0.500 0.613 (multiplicity 2)
O 0.489 0.000 0.263 (multiplicity 2)

Principal peaks in the range 10 to 80 degrees two-theta, low angle first:
- 18.37 deg, d = 4.830 Å, rel. 100
- 35.82 deg, d = 2.507 Å, rel. 12
- 36.01 deg, d = 2.494 Å, rel. 27
- 43.52 deg, d = 2.079 Å, rel. 58
- 43.63 deg, d = 2.075 Å, rel. 25
- 63.32 deg, d = 1.469 Å, rel. 27

[4]
Computed powder diffractogram
Compound: Li7Mn4CoO12
Radiation: copper Kα
Structure: a cell relaxed with GGA+U
Lines closer than 0.1° are merged.

Structural model:
Unit cell a=13.174 b=2.903 c=11.827 alpha=90.00 beta=102.63 gamma=90.00
Space group Cm (No. 8)
Unique sites:
Li 0.000 0.000 0.000 (multiplicity 2)
Li 0.001 0.000 0.484 (multiplicity 2)
Li 0.004 0.000 0.238 (multiplicity 2)
Li 0.170 0.500 0.167 (multiplicity 2)
Li 0.173 0.500 0.654 (multiplicity 2)
Li 0.337 0.000 0.322 (multiplicity 2)
Li 0.338 0.000 0.827 (multiplicity 2)
Mn 0.003 0.000 0.742 (multiplicity 2)
Mn 0.175 0.500 0.912 (multiplicity 2)
Mn 0.332 0.000 0.570 (multiplicity 2)
Mn 0.348 0.000 0.081 (multiplicity 2)
Co 0.149 0.500 0.394 (multiplicity 2)
O 0.001 0.500 0.852 (multiplicity 2)
O 0.011 0.500 0.373 (multiplicity 2)
O 0.173 0.000 0.289 (multiplicity 2)
O 0.174 0.000 0.797 (multiplicity 2)
O 0.182 0.000 0.026 (multiplicity 2)
O 0.185 0.000 0.529 (multiplicity 2)
O 0.332 0.500 0.682 (multiplicity 2)
O 0.338 0.500 0.185 (multiplicity 2)
O 0.341 0.500 0.465 (multiplicity 2)
O 0.342 0.500 0.964 (multiplicity 2)
O 0.490 0.000 0.112 (multiplicity 2)
O 0.493 0.000 0.625 (multiplicity 2)

Principal peaks in the range 10 to 80 degrees two-theta, low angle first:
- 18.28 deg, d = 4.854 Å, rel. 100
- 34.80 deg, d = 2.578 Å, rel. 14
- 36.00 deg, d = 2.495 Å, rel. 23
- 42.18 deg, d = 2.143 Å, rel. 29
- 43.70 deg, d = 2.071 Å, rel. 58
- 62.49 deg, d = 1.486 Å, rel. 15